The following is a simulated powder diffraction line list of Li2PrCrN4. It was derived from DFT lattice parameters and positions (GGA-PBE), using Cu Kα.
Peak positions follow from Bragg's law for the DFT cell and can differ from measured ones.

Peak list (10 most intense, 15 to 90 degrees two-theta, by angle)
| two_theta | d (Å) | I/Imax |
| --- | --- | --- |
| 21.28 | 4.176 | 35 |
| 23.41 | 3.800 | 100 |
| 26.88 | 3.317 | 26 |
| 33.34 | 2.687 | 29 |
| 35.94 | 2.499 | 75 |
| 39.89 | 2.260 | 26 |
| 43.33 | 2.088 | 39 |
| 47.87 | 1.900 | 20 |
| 55.75 | 1.649 | 15 |
| 61.29 | 1.513 | 31 |

```
Li2PrCrN4
1.0
-2.687 2.687 3.317
2.687 -2.687 3.317
2.687 2.687 -3.317
Li Pr Cr N
2 1 1 4
Direct
0.250 0.750 0.500
0.750 0.250 0.500
0.000 0.000 0.000
0.500 0.500 0.000
0.161 0.161 0.623
0.462 0.839 0.000
0.538 0.538 0.377
0.839 0.462 0.000
```

***

The following is a simulated powder diffraction line list of Li2SmCr2N4. It was derived from DFT lattice parameters and positions (GGA-PBE), using Cu Kα.
Peak positions follow from Bragg's law for the DFT cell and can differ from measured ones.

Peak list (10 most intense, 15 to 90 degrees two-theta, by angle)
| two_theta | d (Å) | I/Imax |
| --- | --- | --- |
| 17.29 | 5.130 | 100 |
| 29.64 | 3.014 | 25 |
| 34.28 | 2.616 | 27 |
| 34.98 | 2.565 | 11 |
| 35.39 | 2.536 | 27 |
| 39.17 | 2.300 | 20 |
| 41.65 | 2.169 | 17 |
| 44.46 | 2.038 | 11 |
| 54.72 | 1.678 | 11 |
| 56.26 | 1.635 | 12 |

```
Li2SmCr2N4
1.0
5.161 -1.635 0.000
5.161 1.635 0.000
-4.400 0.000 6.867
Li Sm Cr N
2 1 2 4
Direct
0.129 0.129 0.228
0.871 0.871 0.772
0.000 0.000 0.500
0.341 0.341 0.122
0.659 0.659 0.878
0.236 0.236 0.841
0.463 0.463 0.695
0.537 0.537 0.305
0.764 0.764 0.159
```

***

The following is a simulated powder diffraction line list of Na3LiCr. It was derived from DFT lattice parameters and positions (GGA-PBE), using Cu Kα.
Peak positions follow from Bragg's law for the DFT cell and can differ from measured ones.

Peak list (10 most intense, 15 to 90 degrees two-theta, by angle)
| two_theta | d (Å) | I/Imax |
| --- | --- | --- |
| 15.21 | 5.824 | 100 |
| 21.58 | 4.118 | 20 |
| 30.71 | 2.912 | 58 |
| 34.44 | 2.604 | 51 |
| 43.98 | 2.059 | 40 |
| 46.80 | 1.941 | 25 |
| 54.59 | 1.681 | 13 |
| 66.16 | 1.412 | 12 |
| 72.60 | 1.302 | 15 |
| 80.86 | 1.189 | 11 |

```
Na3LiCr
1.0
5.824 0.000 0.000
0.000 5.824 0.000
0.000 0.000 5.824
Na Li Cr
3 1 1
Direct
0.000 0.000 0.500
0.000 0.500 0.000
0.500 0.000 0.000
0.500 0.500 0.500
0.000 0.000 0.000
```